No. 1
Computed powder diffractogram
Compound: CoPO4
Radiation: copper Kα
Structure: the PBE+U geometry in Alexandria
Intensities are scaled so that the largest is 100.

Largest 8 diffraction maxima, by angle, 10 to 90 degrees two-theta:
2theta, intensity, (hkl)
13.75, 43, 1 0 0
18.91, 73, 0 0 2
23.93, 94, 1 1 0
27.70, 44, 2 0 0
30.68, 100, 1 1 2
31.80, 52, 1 0 3
33.76, 42, 2 0 2
47.32, 33, 3 -1 3

Structure:
```
data_CoPO4
_symmetry_space_group_name_H-M 'P 3 1 c'
_symmetry_Int_Tables_number 159
_cell_length_a 7.4372
_cell_length_b 7.4372
_cell_length_c 9.3835
_cell_angle_alpha 90.00
_cell_angle_beta 90.00
_cell_angle_gamma 120.00
loop_
_symmetry_equiv_pos_as_xyz
'x,y,z'
'-y,x-y,z'
'-x+y,-x,z'
'y,x,z+1/2'
'x-y,-y,z+1/2'
'-x,-x+y,z+1/2'
loop_
_atom_site_label
_atom_site_fract_x
_atom_site_fract_y
_atom_site_fract_z
Co1 0.0634 0.4440 0.0000
P1 0.0000 0.0000 0.0579
P2 0.3333 0.6667 0.3154
P3 0.3333 0.6667 0.7026
O1 0.0000 0.0000 0.2167
O2 0.1092 0.5827 0.3686
O3 0.1112 0.2272 0.9942
O4 0.1274 0.4806 0.6545
O5 0.3333 0.6667 0.1456
O6 0.3333 0.6667 0.8748
```

---

No. 2
Computed powder diffractogram
Compound: La2Fe2O5
Radiation: copper Kα
Structure: the PBE+U geometry in Alexandria
Intensities are scaled so that the largest is 100.

Largest 8 diffraction maxima, by angle, 10 to 90 degrees two-theta:
2theta, intensity, (hkl)
22.51, 42, 1 1 1
31.17, 62, 0 2 1
31.47, 100, -1 1 2
31.78, 88, 1 1 3
32.89, 60, 2 0 1
44.71, 25, 0 0 4
45.95, 50, 2 2 2
55.76, 20, -1 3 3

Structure:
```
data_La2Fe2O5
_symmetry_space_group_name_H-M 'P 1'
_symmetry_Int_Tables_number 1
_cell_length_a 5.4465
_cell_length_b 5.7384
_cell_length_c 8.9845
_cell_angle_alpha 71.48
_cell_angle_beta 73.04
_cell_angle_gamma 89.94
loop_
_symmetry_equiv_pos_as_xyz
'x,y,z'
loop_
_atom_site_label
_atom_site_fract_x
_atom_site_fract_y
_atom_site_fract_z
La1 0.0000 0.0000 0.0000
La2 0.2353 0.2827 0.4445
La3 0.4971 0.5337 0.0001
La4 0.7367 0.8165 0.4422
Fe1 0.0824 0.6127 0.7235
Fe2 0.3710 0.9078 0.2204
Fe3 0.5756 0.2137 0.7164
Fe4 0.8699 0.4069 0.2219
O1 0.0679 0.6809 0.2527
O2 0.1728 0.2052 0.1891
O3 0.1945 0.2630 0.7204
O4 0.2632 0.8467 0.5049
O5 0.4976 0.9661 0.9381
O6 0.5643 0.6055 0.2527
O7 0.6709 0.1382 0.1875
O8 0.6986 0.5492 0.7184
O9 0.7614 0.2027 0.4912
O10 0.9961 0.6088 0.9535
```